The following is a simulated X-ray powder pattern of WN2. It was derived from a crystal structure in the Materials Project, relaxed with PBE, using CuKα.
Peak positions follow from Bragg's law for the DFT cell and can differ from measured ones.

Atomic structure:
Lattice parameters (Å, degrees): 5.889 8.134 6.007 90.00 90.00 90.00
Sites, in units of the cell vectors:
W 0.051 0.124 0.000
W 0.449 0.624 0.500
W 0.551 0.376 0.000
W 0.949 0.876 0.500
N 0.010 0.028 0.722
N 0.152 0.702 0.531
N 0.348 0.202 0.031
N 0.490 0.528 0.222
N 0.510 0.472 0.722
N 0.652 0.798 0.531
N 0.848 0.298 0.031
N 0.990 0.972 0.222

Largest 10 diffraction maxima, low angle first, 10° ≤ 2θ ≤ 80°:
- d = 4.832 Å, intensity 100
- d = 4.770 Å, intensity 88
- d = 3.004 Å, intensity 25
- d = 2.945 Å, intensity 17
- d = 2.924 Å, intensity 80
- d = 2.542 Å, intensity 23
- d = 2.515 Å, intensity 18
- d = 2.471 Å, intensity 13
- d = 1.905 Å, intensity 13
- d = 1.718 Å, intensity 18